The following is a simulated powder X-ray diffraction pattern of ErZn6Ga6. It was derived from a cell relaxed with PBE, using copper Kα.
Intensities are scaled so that the largest is 100.

Most intense lines, 2θ = 10–90°, in order of rising 2θ:
33.5°, I 29
34.1°, I 43
38.8°, I 41
39.0°, I 48
39.1°, I 100
39.4°, I 85
44.0°, I 41
70.7°, I 33

Crystal structure
```
ErZn6Ga6
1.0
-2.6654 4.5415 4.6368
2.6654 -4.5415 4.6368
2.6654 4.5415 -4.6368
Er Zn Ga
1 6 6
Direct
0.0000 0.0000 0.0000
0.0000 0.0000 0.5000
0.0000 0.5000 0.0000
0.2275 0.7275 0.5000
0.5000 0.0000 0.0000
0.5000 0.5000 0.5000
0.7725 0.2725 0.5000
0.1827 0.5000 0.6827
0.3480 0.0000 0.3480
0.3535 0.3535 0.0000
0.6465 0.6465 0.0000
0.6520 0.0000 0.6520
0.8173 0.5000 0.3173
```